Diffraction record for Y8Tl4Se3S. The powder XRD pattern is computed, not measured: it uses a GGA-PBE-relaxed structure and λ = 1.5418 Å (Cu Kα).
Lines closer than 0.1° are merged.

Structural model:
a = 7.8776 Å, b = 7.8776 Å, c = 9.1560 Å
α = 115.66°, β = 115.66°, γ = 59.80°
Atoms (fractional coordinates):
1 Y 0.2339 0.2339 0.7127
2 Y 0.2338 0.7456 0.7125
3 Y 0.2544 0.7662 0.2875
4 Y 0.2601 0.2601 0.2811
5 Y 0.7399 0.7399 0.7189
6 Y 0.7456 0.2338 0.7125
7 Y 0.7662 0.2544 0.2875
8 Y 0.7661 0.7661 0.2873
9 Tl 0.0000 0.0000 0.0000
10 Tl 0.0000 0.5000 0.0000
11 Tl 0.5000 0.0000 0.0000
12 Tl 0.5000 0.5000 0.0000
13 Se 0.0000 0.5000 0.5000
14 Se 0.5000 0.0000 0.5000
15 Se 0.5000 0.5000 0.5000
16 S 0.0000 0.0000 0.5000

Main lines, low angle first (2θ from 5° to 70°):
Position (°2θ)  d/Å  I_rel
11.2  7.932  12
26.4  3.373  15
30.2  2.957  100
40.2  2.246  14
40.3  2.238  27
46.1  1.969  21